1.
# Mn2CdBr6
Theoretical X-ray powder pattern, a wavelength of 1.5418 Å. Input: a PBE-relaxed structure.
Peak positions follow from Bragg's law for the DFT cell and can differ from measured ones.

Top 10 peaks for 10 to 90 degrees two-theta, by angle:
Position (°2θ)	Rel. int.
12.84	86
26.48	12
27.52	19
31.24	50
31.43	100
40.40	18
43.90	50
45.90	34
46.17	17
56.81	17

Structural model:
```
data_Mn2CdBr6
_chemical_formula_sum 'Mn2 Cd1 Br6'
_cell_length_a 9.1839
_cell_length_b 9.1839
_cell_length_c 8.2653
_cell_angle_alpha 106.40
_cell_angle_beta 106.40
_cell_angle_gamma 24.72
_space_group_name_H-M_alt 'P 1'
_space_group_IT_number 1
_space_group_name_Hall 'P 1'
loop_
_atom_site_label
_atom_site_fract_x
_atom_site_fract_y
_atom_site_fract_z
Mn1 0.1686 0.1686 0.3350
Mn2 0.8314 0.8314 0.6650
Cd1 0.5000 0.5000 0.0000
Br1 0.0101 0.0101 0.2460
Br2 0.3263 0.3263 0.4359
Br3 0.3348 0.3348 0.8922
Br4 0.6652 0.6652 0.1078
Br5 0.6737 0.6737 0.5641
Br6 0.9899 0.9899 0.7540
```

---

2.
# Tb7DyHo2
Theoretical X-ray powder pattern, a wavelength of 1.5418 Å. Input: a PBE-relaxed structure.
Peak positions follow from Bragg's law for the DFT cell and can differ from measured ones.

Top 10 peaks for 10 to 90 degrees two-theta, by angle:
Position (°2θ)	Rel. int.
30.91	100
35.81	34
35.90	17
51.57	30
61.31	25
61.43	18
64.36	6
64.45	6
84.23	9
86.85	8

Structural model:
```
data_Tb7DyHo2
_chemical_formula_sum 'Tb7 Dy1 Ho2'
_cell_length_a 6.1278
_cell_length_b 6.1413
_cell_length_c 9.3794
_cell_angle_alpha 102.62
_cell_angle_beta 108.98
_cell_angle_gamma 99.67
_space_group_name_H-M_alt 'P 1'
_space_group_IT_number 1
_space_group_name_Hall 'P 1'
loop_
_atom_site_label
_atom_site_fract_x
_atom_site_fract_y
_atom_site_fract_z
Tb1 0.0000 0.0000 0.0000
Tb2 0.1995 0.9999 0.3997
Tb3 0.2002 0.5005 0.9001
Tb4 0.4005 0.5004 0.3001
Tb5 0.5995 0.4996 0.6999
Tb6 0.7998 0.4995 0.0999
Tb7 0.8005 0.0001 0.6003
Dy1 0.0000 0.5000 0.5000
Ho1 0.4003 0.9999 0.8001
Ho2 0.5997 0.0001 0.1999
```

---

3.
# LaHoO2
Theoretical X-ray powder pattern, a wavelength of 1.5418 Å. Input: a PBE-relaxed structure.
Peak positions follow from Bragg's law for the DFT cell and can differ from measured ones.

Top 10 peaks for 10 to 90 degrees two-theta, by angle:
Position (°2θ)	Rel. int.
28.85	50
30.21	100
31.37	34
35.66	33
38.61	93
45.67	32
52.93	42
61.40	38
63.22	18
67.40	17

Structural model:
```
data_LaHoO2
_chemical_formula_sum 'La3 Ho3 O6'
_cell_length_a 3.4600
_cell_length_b 3.4600
_cell_length_c 18.5705
_cell_angle_alpha 90.00
_cell_angle_beta 90.00
_cell_angle_gamma 120.00
_space_group_name_H-M_alt 'P 1'
_space_group_IT_number 1
_space_group_name_Hall 'P 1'
loop_
_atom_site_label
_atom_site_fract_x
_atom_site_fract_y
_atom_site_fract_z
La1 0.0000 0.0000 0.0000
La2 0.3333 0.6667 0.6667
La3 0.6667 0.3333 0.3333
Ho1 0.0000 0.0000 0.1764
Ho2 0.3333 0.6667 0.8431
Ho3 0.6667 0.3333 0.5098
O1 0.0000 0.0000 0.5718
O2 0.0000 0.0000 0.7739
O3 0.3333 0.6667 0.2384
O4 0.3333 0.6667 0.4406
O5 0.6667 0.3333 0.1073
O6 0.6667 0.3333 0.9051
```